Record 1
The following is a simulated powder X-ray diffraction pattern of Tb2Si3Pd. It was derived from the PBE geometry in the Materials Project, using Cu Kα, 1.54184 Å.
Kinematic intensities with the Lorentz-polarization factor, no thermal factor.

a b c (Å): 8.2298 8.2298 7.9304
angles (deg): 90.00 90.00 120.00
Fractional positions:
Tb: 0.0000 0.0000 0.2500
Tb: 0.0000 0.0000 0.7500
Tb: 0.0234 0.5117 0.2500
Tb: 0.4883 0.5117 0.2500
Tb: 0.4883 0.9766 0.2500
Tb: 0.5117 0.0234 0.7500
Tb: 0.5117 0.4883 0.7500
Tb: 0.9766 0.4883 0.7500
Si: 0.1654 0.3309 0.5026
Si: 0.1654 0.3309 0.9974
Si: 0.1654 0.8346 0.5026
Si: 0.1654 0.8346 0.9974
Si: 0.3309 0.1654 0.0026
Si: 0.3309 0.1654 0.4974
Si: 0.6691 0.8346 0.5026
Si: 0.6691 0.8346 0.9974
Si: 0.8346 0.1654 0.0026
Si: 0.8346 0.1654 0.4974
Si: 0.8346 0.6691 0.0026
Si: 0.8346 0.6691 0.4974
Pd: 0.3333 0.6667 0.5434
Pd: 0.3333 0.6667 0.9566
Pd: 0.6667 0.3333 0.0434
Pd: 0.6667 0.3333 0.4566

Peak list (10 most intense, 10° ≤ 2θ ≤ 80°, most intense first)
2theta  I/Imax
33.82  100
44.01  37
24.99  30
56.63  21
65.37  17
74.38  17
52.84  11
45.77  9
76.94  7
21.60  7

***

Record 2
The following is a simulated powder X-ray diffraction pattern of TbSiPd. It was derived from the PBE geometry in the Materials Project, using Cu Kα, 1.54184 Å.
Kinematic intensities with the Lorentz-polarization factor, no thermal factor.

a b c (Å): 21.1024 4.3758 7.4405
angles (deg): 90.00 90.00 90.00
Fractional positions:
Tb: 0.0014 0.2500 0.2124
Tb: 0.1664 0.2500 0.2918
Tb: 0.1672 0.7500 0.7065
Tb: 0.3328 0.2500 0.2065
Tb: 0.3336 0.7500 0.7918
Tb: 0.4986 0.7500 0.7124
Tb: 0.5014 0.2500 0.2876
Tb: 0.6664 0.2500 0.2082
Tb: 0.6672 0.7500 0.7935
Tb: 0.8328 0.2500 0.2935
Tb: 0.8336 0.7500 0.7082
Tb: 0.9986 0.7500 0.7876
Si: 0.0712 0.2500 0.5884
Si: 0.1045 0.7500 0.0856
Si: 0.2285 0.7500 0.0838
Si: 0.2715 0.2500 0.5838
Si: 0.3955 0.2500 0.5856
Si: 0.4288 0.7500 0.0884
Si: 0.5712 0.2500 0.9116
Si: 0.6045 0.7500 0.4144
Si: 0.7285 0.7500 0.4162
Si: 0.7715 0.2500 0.9162
Si: 0.8955 0.2500 0.9144
Si: 0.9288 0.7500 0.4116
Pd: 0.0634 0.7500 0.4170
Pd: 0.0933 0.2500 0.9195
Pd: 0.2372 0.2500 0.9162
Pd: 0.2628 0.7500 0.4162
Pd: 0.4067 0.7500 0.4195
Pd: 0.4366 0.2500 0.9170
Pd: 0.5634 0.7500 0.0830
Pd: 0.5933 0.2500 0.5805
Pd: 0.7372 0.2500 0.5838
Pd: 0.7628 0.7500 0.0838
Pd: 0.9067 0.7500 0.0805
Pd: 0.9366 0.2500 0.5830

Peak list (10 most intense, 10° ≤ 2θ ≤ 80°, most intense first)
2theta  I/Imax
34.88  100
41.87  43
35.11  42
41.26  31
34.10  30
55.26  29
23.59  21
23.95  19
67.78  17
71.11  12

***

Record 3
The following is a simulated powder X-ray diffraction pattern of ThSi2Pd2. It was derived from the PBE geometry in the Materials Project, using Cu Kα, 1.54184 Å.
Kinematic intensities with the Lorentz-polarization factor, no thermal factor.

a b c (Å): 5.8814 5.8814 5.8814
angles (deg): 137.94 137.94 61.00
Fractional positions:
Th: 0.0000 0.0000 0.0000
Si: 0.3828 0.3828 0.0000
Si: 0.6172 0.6172 0.0000
Pd: 0.2500 0.7500 0.5000
Pd: 0.7500 0.2500 0.5000

Peak list (10 most intense, 10° ≤ 2θ ≤ 80°, most intense first)
2theta  I/Imax
34.88  100
22.82  46
33.99  36
42.84  35
73.34  23
56.77  19
35.43  18
55.78  18
63.25  16
49.91  14